Entry 1:
This entry pairs a crystal structure of LiLaCe2S4 with its computed powder diffractogram. Radiation: Cu Kα. Structure: a GGA-PBE-relaxed structure.

Top 8 peaks for 2θ = 5–70°, sorted by position:
2θ 13.43, intensity 26.9
2θ 25.81, intensity 19.6
2θ 27.00, intensity 50.6
2θ 31.27, intensity 100.0
2θ 44.84, intensity 59.5
2θ 53.03, intensity 13.0
2θ 53.16, intensity 13.0
2θ 55.55, intensity 12.4

Structure:
```
LiLaCe2S4
1.0
-4.0365 4.0568 5.7168
4.0365 -4.0568 5.7168
4.0365 4.0568 -5.7168
Li La Ce S
2 2 4 8
Cartesian
0.0000 0.0000 0.0000
0.0000 4.0568 0.0000
-2.0182 2.0284 2.8584
2.0182 2.0284 2.8584
2.0182 2.0284 -2.8584
2.0182 -2.0284 2.8584
4.0365 0.0000 0.0000
0.0000 0.0000 5.7168
4.0365 4.0138 -2.9148
1.9767 2.0284 -0.0315
2.0598 -2.0284 5.6853
4.0365 -0.0430 2.9148
0.0000 4.0997 2.8020
1.9767 6.0852 0.0315
2.0598 2.0284 5.7484
0.0000 0.0430 8.6316
```

Entry 2:
This entry pairs a crystal structure of Gd3GaNiSe7 with its computed powder diffractogram. Radiation: Cu Kα. Structure: a GGA-PBE-relaxed structure.

Top 8 peaks for 2θ = 5–70°, sorted by position:
2θ 24.58, intensity 100.0
2θ 30.40, intensity 77.4
2θ 33.77, intensity 84.1
2θ 34.39, intensity 96.7
2θ 35.67, intensity 97.2
2θ 38.89, intensity 45.5
2θ 39.76, intensity 37.0
2θ 46.78, intensity 64.4

Structure:
```
Gd3GaNiSe7
1.0
10.0695 0.0000 0.0000
-5.0348 8.7205 0.0000
0.0000 0.0000 6.5082
Gd Ga Ni Se
6 2 2 14
Cartesian
-0.2874 3.2501 0.0000
-2.0763 7.3443 0.0000
2.6710 1.8740 3.2541
2.3638 6.8465 0.0000
7.1111 1.3761 3.2541
5.3222 5.4703 3.2541
0.0000 5.8137 3.7566
5.0348 2.9068 0.5025
0.0000 0.0000 1.1024
0.0000 0.0000 4.3564
-2.0011 4.9045 4.7669
-0.1454 2.0380 2.6554
-3.1972 7.8274 2.6554
1.6922 1.1449 5.9094
0.0000 5.8137 1.3444
1.7879 4.5352 4.7669
0.2132 8.0013 4.7669
4.8216 0.7192 1.5128
3.2468 4.1852 1.5128
5.0348 2.9068 4.5985
3.3425 7.5756 2.6554
8.2319 0.8931 5.9094
5.1801 6.6825 5.9094
7.0359 3.8160 1.5128
```

Entry 3:
This entry pairs a crystal structure of Tb6NpS8 with its computed powder diffractogram. Radiation: Cu Kα. Structure: a GGA-PBE-relaxed structure.

Top 8 peaks for 2θ = 5–70°, sorted by position:
2θ 13.83, intensity 24.4
2θ 26.65, intensity 16.6
2θ 27.86, intensity 75.7
2θ 32.28, intensity 100.0
2θ 46.30, intensity 72.2
2θ 54.90, intensity 37.5
2θ 57.56, intensity 25.0
2θ 67.55, intensity 11.6

Structure:
```
Tb6NpS8
1.0
0.0000 5.5469 5.5469
5.5469 0.0000 5.5469
5.5469 5.5469 0.0000
Tb Np S
6 1 8
Cartesian
2.7734 2.7734 0.0000
2.7734 0.0000 2.7734
5.5469 2.7734 2.7734
0.0000 2.7734 2.7734
2.7734 5.5469 2.7734
2.7734 2.7734 5.5469
0.0000 0.0000 0.0000
2.7734 2.7734 2.7734
5.5469 5.5469 2.7895
5.5469 2.7895 5.5469
8.3043 5.5469 5.5469
2.7895 5.5469 5.5469
5.5469 8.3043 5.5469
5.5469 5.5469 8.3043
8.3203 8.3203 8.3203
```

Entry 4:
This entry pairs a crystal structure of Pr4ErSe7 with its computed powder diffractogram. Radiation: Cu Kα. Structure: a GGA-PBE-relaxed structure.

Top 8 peaks for 2θ = 5–70°, sorted by position:
2θ 22.26, intensity 76.4
2θ 22.64, intensity 94.7
2θ 29.17, intensity 100.0
2θ 30.67, intensity 100.0
2θ 31.78, intensity 67.0
2θ 33.82, intensity 53.5
2θ 39.00, intensity 50.9
2θ 44.08, intensity 59.5

Structure:
```
Pr4ErSe7
1.0
6.9228 -2.0544 0.0000
6.9228 2.0544 0.0000
-3.2470 0.0000 12.0729
Pr Er Se
4 1 7
Cartesian
0.0000 0.0000 0.0000
0.1321 0.0000 9.2595
6.8877 0.0000 4.5888
10.4320 0.0000 6.8827
10.2376 0.0000 1.8156
1.4566 0.0000 2.6738
1.4237 0.0000 6.3062
5.0278 0.0000 0.9406
5.5719 0.0000 7.5352
5.7276 0.0000 11.2485
9.1955 0.0000 9.5280
11.6606 0.0000 4.2242
```

Entry 5:
This entry pairs a crystal structure of Mg6Si5 with its computed powder diffractogram. Radiation: Cu Kα. Structure: a GGA-PBE-relaxed structure.

Top 8 peaks for 2θ = 5–70°, sorted by position:
2θ 32.77, intensity 20.2
2θ 33.53, intensity 38.4
2θ 33.89, intensity 100.0
2θ 36.43, intensity 36.6
2θ 37.19, intensity 18.0
2θ 37.68, intensity 66.8
2θ 38.14, intensity 45.1
2θ 44.15, intensity 68.1

Structure:
```
Mg6Si5
1.0
7.0609 0.0000 0.0000
0.0000 4.1028 0.0000
-2.5793 0.0000 14.4218
Mg Si
12 10
Cartesian
0.0000 0.0000 0.0000
-0.3558 2.0514 2.6554
-0.6922 2.0514 9.7385
0.7200 0.0000 4.5984
0.6844 0.0000 7.7114
2.3398 2.0514 0.2733
3.1517 2.0514 3.6543
1.9025 0.0000 13.1280
3.3900 0.0000 6.1162
3.2282 2.0514 8.5103
4.1770 0.0000 10.6649
5.7584 2.0514 6.1151
-1.9955 2.0514 12.4561
-0.5293 0.0000 12.0364
1.7447 0.0000 2.1041
1.5877 2.0514 6.1542
1.2843 0.0000 10.3127
2.4974 2.0514 11.2234
4.2234 0.0000 1.8424
5.0221 2.0514 0.5734
5.1363 0.0000 4.1073
5.1182 0.0000 8.1406
```

Entry 6:
This entry pairs a crystal structure of Tm3Si6Ni20 with its computed powder diffractogram. Radiation: Cu Kα. Structure: a GGA-PBE-relaxed structure.

Top 8 peaks for 2θ = 5–70°, sorted by position:
2θ 22.08, intensity 17.5
2θ 25.95, intensity 12.0
2θ 35.24, intensity 26.8
2θ 38.74, intensity 60.5
2θ 41.19, intensity 100.0
2θ 45.03, intensity 54.6
2θ 47.22, intensity 11.7
2θ 53.36, intensity 16.8

Structure:
```
Tm3Si6Ni20
1.0
0.0000 5.6941 5.6941
5.6941 0.0000 5.6941
5.6941 5.6941 0.0000
Tm Si Ni
3 6 20
Cartesian
0.0000 0.0000 0.0000
2.8470 2.8470 2.8470
8.5411 8.5411 8.5411
5.6941 5.6941 3.0367
5.6941 3.0367 5.6941
8.3514 5.6941 5.6941
3.0367 5.6941 5.6941
5.6941 8.3514 5.6941
5.6941 5.6941 8.3514
2.0096 2.0096 0.0000
3.6844 3.6844 0.0000
2.0096 0.0000 2.0096
5.6941 3.6844 2.0096
3.6844 0.0000 3.6844
5.6941 2.0096 3.6844
7.0089 4.3792 4.3792
0.0000 2.0096 2.0096
3.6844 5.6941 2.0096
3.6844 2.0096 5.6941
4.3792 4.3792 4.3792
7.0089 7.0089 4.3792
7.0089 4.3792 7.0089
4.3792 7.0089 4.3792
4.3792 4.3792 7.0089
7.0089 7.0089 7.0089
0.0000 3.6844 3.6844
2.0096 5.6941 3.6844
2.0096 3.6844 5.6941
4.3792 7.0089 7.0089
```

Entry 7:
This entry pairs a crystal structure of Ho3Fe2B9 with its computed powder diffractogram. Radiation: Cu Kα. Structure: a GGA-PBE-relaxed structure.

Top 8 peaks for 2θ = 5–70°, sorted by position:
2θ 23.81, intensity 49.2
2θ 26.94, intensity 71.8
2θ 30.97, intensity 100.0
2θ 36.26, intensity 52.8
2θ 41.50, intensity 94.0
2θ 41.63, intensity 23.1
2θ 42.90, intensity 31.0
2θ 48.72, intensity 27.7

Structure:
```
Ho3Fe2B9
1.0
-1.5654 3.7365 6.6199
1.5654 -3.7365 6.6199
1.5654 3.7365 -6.6199
Ho Fe B
3 2 9
Cartesian
0.0000 0.0000 0.0000
0.0000 0.0000 3.5052
0.0000 0.0000 9.7347
1.5654 2.4890 0.0000
0.0000 1.2475 6.6199
1.5654 1.4160 -1.7169
1.5654 -1.7109 5.0250
1.5654 1.4160 1.7169
0.0000 2.0256 1.5949
0.0000 3.7365 0.0000
1.5654 1.7109 5.0250
0.0000 2.3205 4.9031
0.0000 5.4474 1.5949
0.0000 2.3205 8.3368
```

Entry 8:
This entry pairs a crystal structure of GeH6CI3N3 with its computed powder diffractogram. Radiation: Cu Kα. Structure: a GGA-PBE-relaxed structure.

Top 8 peaks for 2θ = 5–70°, sorted by position:
2θ 10.72, intensity 89.0
2θ 23.95, intensity 21.9
2θ 24.69, intensity 100.0
2θ 31.13, intensity 19.0
2θ 32.43, intensity 26.4
2θ 37.68, intensity 17.8
2θ 37.81, intensity 14.1
2θ 42.57, intensity 19.1

Structure:
```
GeH6CI3N3
1.0
9.5425 0.0000 0.0000
0.0000 7.4314 0.0000
-9.5293 0.0000 16.4704
Ge H C I N
4 24 4 12 12
Cartesian
-2.3775 0.1748 4.1100
-7.1422 3.5409 12.3452
7.1554 3.8905 4.1252
2.3907 7.2566 12.3604
-4.4212 1.8031 9.3592
0.3435 1.9126 1.1240
-8.2638 1.8262 16.1249
-3.4992 1.8895 7.8897
-3.3119 1.7081 11.4557
1.4527 2.0076 3.2205
-5.8924 1.8509 16.2124
-1.1277 1.8648 7.9772
-4.4381 5.4974 15.1961
0.3266 5.6498 6.9609
-3.1756 5.4012 13.1889
1.5891 5.7459 4.9537
-1.5759 1.6855 11.5168
3.1888 2.0302 3.2816
-0.3134 1.7817 9.5096
4.4512 1.9341 1.2744
1.1409 5.5666 8.4932
5.9056 5.5805 0.2580
-1.4396 5.4238 13.2500
3.3251 5.7233 5.0147
3.5123 5.5419 8.5807
8.2770 5.6053 0.3455
-0.3303 5.5188 15.3464
4.4344 5.6283 7.1112
-2.3750 1.7859 9.6180
2.3897 1.9298 1.3828
-2.3765 5.5016 15.0877
2.3882 5.6455 6.8525
-7.1909 5.4088 14.7528
-2.4262 5.7383 6.5176
-5.0478 5.3953 11.1868
-0.2831 5.7519 2.9516
-5.0908 1.6924 13.5920
-0.3261 2.0233 5.3568
0.3393 5.4081 11.1136
5.1039 5.7390 2.8784
0.2963 1.6796 13.5189
5.0609 2.0362 5.2836
2.4394 1.6931 9.9529
7.2040 2.0226 1.7176
-3.5072 1.8365 8.9075
1.2575 1.8792 0.6723
-2.4256 1.7063 10.9524
2.3391 2.0094 2.7172
-1.1920 1.8131 8.9941
3.5726 1.9026 0.7588
-3.5594 5.5288 15.7116
1.2052 5.6183 7.4764
-2.3259 5.4220 13.7533
2.4387 5.7251 5.5180
-1.2443 5.5522 15.7982
3.5204 5.5949 7.5629
```

Entry 9:
This entry pairs a crystal structure of Cs2Ga2HgBr6 with its computed powder diffractogram. Radiation: Cu Kα. Structure: a GGA-PBE-relaxed structure.

Top 8 peaks for 2θ = 5–70°, sorted by position:
2θ 13.43, intensity 100.0
2θ 18.78, intensity 66.5
2θ 19.55, intensity 95.4
2θ 20.98, intensity 70.4
2θ 26.01, intensity 64.0
2θ 28.05, intensity 60.7
2θ 30.64, intensity 67.0
2θ 33.29, intensity 51.2

Structure:
```
Cs2Ga2HgBr6
1.0
7.6118 0.0000 0.0000
1.7534 7.4180 0.0000
3.1812 2.5003 9.5429
Cs Ga Hg Br
2 2 1 6
Cartesian
1.6579 1.3030 1.5299
10.8885 8.6153 8.0130
4.6356 3.6670 6.2893
7.9108 6.2513 3.2536
6.2732 4.9591 4.7715
1.7348 5.0127 1.6750
3.0234 2.4181 4.9689
7.2533 9.3781 7.8491
5.2930 0.5402 1.6939
9.5230 7.5002 4.5741
10.8115 4.9056 7.8680
```

Entry 10:
This entry pairs a crystal structure of In with its computed powder diffractogram. Radiation: Cu Kα. Structure: a GGA-PBE-relaxed structure.

Top 8 peaks for 2θ = 5–70°, sorted by position:
2θ 19.83, intensity 20.5
2θ 26.26, intensity 100.0
2θ 34.79, intensity 35.4
2θ 38.92, intensity 77.4
2θ 40.05, intensity 46.8
2θ 40.32, intensity 18.7
2θ 65.87, intensity 27.1
2θ 68.39, intensity 20.3

Structure:
```
In
1.0
5.1572 0.0000 0.0000
0.0000 8.9523 0.0000
0.0000 0.0000 5.2124
In
8
Cartesian
0.0000 1.3927 0.4031
0.0000 3.0834 3.0093
0.0000 5.8689 2.2031
0.0000 7.5596 4.8093
2.5786 1.3927 2.2031
2.5786 3.0834 4.8093
2.5786 5.8689 0.4031
2.5786 7.5596 3.0093
```

Entry 11:
This entry pairs a crystal structure of Ba2Cd5Au12 with its computed powder diffractogram. Radiation: Cu Kα. Structure: a GGA-PBE-relaxed structure.

Top 8 peaks for 2θ = 5–70°, sorted by position:
2θ 17.77, intensity 31.4
2θ 31.03, intensity 27.6
2θ 32.21, intensity 32.0
2θ 35.98, intensity 37.4
2θ 36.28, intensity 100.0
2θ 37.17, intensity 34.0
2θ 40.67, intensity 82.7
2θ 41.48, intensity 23.9

Structure:
```
Ba2Cd5Au12
1.0
4.9921 2.8822 4.8380
-4.9921 2.8822 4.8380
0.0000 -5.7644 4.8380
Ba Cd Au
2 5 12
Cartesian
0.0000 0.0000 2.1331
0.0000 0.0000 12.3808
-2.4960 -1.4411 4.8380
0.0000 0.0000 5.8048
-2.4960 1.4411 9.6759
0.0000 2.8822 4.8380
0.0000 0.0000 8.7090
0.0000 -2.8690 4.6386
-2.4846 1.4345 4.6386
-1.5186 -2.6302 7.2569
-3.0371 0.0000 7.2569
-2.4846 -1.4345 9.8753
1.5186 -2.6302 7.2569
-1.5186 2.6302 7.2569
2.4846 1.4345 4.6386
3.0371 0.0000 7.2569
1.5186 2.6302 7.2569
2.4846 -1.4345 9.8753
0.0000 2.8690 9.8753
```